For CrHgO4, DFT lattice parameters and positions (PBE+U) gives the simulated powder diffraction line list in this record (Cu Kα, 1.54184 Å).
Peak positions follow from Bragg's law for the DFT cell and can differ from measured ones.

Structure:
a b c (Å): 5.7936 9.1466 7.2492
angles (deg): 90.00 90.00 90.00
Space group Cmcm (No. 63)
One atom of each set of equivalent atoms:
1 Cr 0.0000 0.1429 0.2500
2 Hg 0.0000 0.5000 0.0000
3 O 0.0000 0.2455 0.0646
4 O 0.2423 0.0358 0.2500

Most intense lines, 2θ from 10° to 90°, low angle first:
| index | 2θ (°) | d_spacing | intensity |
| --- | --- | --- | --- |
| 1 1 0 | 18.1 | 4.894 | 83 |
| 0 2 0 | 19.4 | 4.573 | 46 |
| 1 1 2 | 30.7 | 2.913 | 100 |
| 2 0 0 | 30.9 | 2.897 | 29 |
| 0 2 2 | 31.5 | 2.841 | 21 |
| 1 3 0 | 33.2 | 2.698 | 46 |
| 1 3 2 | 41.7 | 2.164 | 20 |
| 2 2 2 | 44.7 | 2.028 | 31 |
| 3 1 2 | 54.8 | 1.676 | 19 |
| 2 4 2 | 57.3 | 1.608 | 25 |